No. 1
This entry pairs a crystal structure of SmZn4Cu2 with its calculated powder diffraction line list. Radiation: λ = 1.5418 Å (Cu Kα). Structure: a cell relaxed with PBE.

Principal peaks in the range 2θ = 15–90°, low angle first:
2θ (°)	d (Å)	intensity
34.94	2.568	96
35.08	2.558	32
35.42	2.534	27
38.27	2.352	100
40.43	2.231	88
44.49	2.036	52
44.66	2.029	25
44.79	2.023	25
70.55	1.335	19
70.75	1.332	19

Structural model:
```
7
Lattice="4.1657 -3.3356 0.0000 4.1657 3.3356 0.0000 -3.0673 0.0000 4.0346" Properties=species:S:1:pos:R:3 pbc="T T T"
Sm 0.0000 0.0000 0.0000
Zn -0.5167 1.2856 2.7979
Zn -0.5167 -1.2856 2.7979
Zn 5.7807 1.2856 1.2367
Zn 5.7807 -1.2856 1.2367
Cu 3.3959 0.0000 1.0083
Cu 1.8681 0.0000 3.0262
```


No. 2
This entry pairs a crystal structure of Sm2Zn5Cu5 with its calculated powder diffraction line list. Radiation: λ = 1.5418 Å (Cu Kα). Structure: a cell relaxed with PBE.

Principal peaks in the range 2θ = 15–90°, low angle first:
2θ (°)	d (Å)	intensity
29.30	3.049	18
29.44	3.034	41
33.60	2.667	31
38.85	2.318	19
39.29	2.293	33
40.51	2.227	100
40.83	2.210	48
44.80	2.023	36
65.24	1.430	23
87.63	1.113	20

Structural model:
```
12
Lattice="4.0460 0.0000 0.0000 0.0000 5.2774 0.0000 0.0000 0.0000 9.2731" Properties=species:S:1:pos:R:3 pbc="T T T"
Sm 0.0000 0.0000 0.0000
Sm 0.0000 2.6387 4.6366
Zn 0.0000 0.0000 3.0211
Zn 0.0000 0.0000 6.2520
Zn 0.0000 2.6387 1.5451
Zn 0.0000 2.6387 7.7280
Zn 2.0230 0.0000 4.6366
Cu 2.0230 1.3317 2.3057
Cu 2.0230 1.3317 6.9674
Cu 2.0230 2.6387 0.0000
Cu 2.0230 3.9457 2.3057
Cu 2.0230 3.9457 6.9674
```


No. 3
This entry pairs a crystal structure of Sm2Zn3Cu5 with its calculated powder diffraction line list. Radiation: λ = 1.5418 Å (Cu Kα). Structure: a cell relaxed with PBE.

Principal peaks in the range 2θ = 15–90°, low angle first:
2θ (°)	d (Å)	intensity
28.71	3.109	27
33.78	2.653	76
34.31	2.614	100
37.41	2.404	81
39.76	2.267	33
40.57	2.224	19
44.17	2.051	79
50.03	1.823	18
59.57	1.552	20
68.85	1.364	21

Structural model:
```
20
Lattice="-5.0886 6.2183 2.7279 5.0886 -6.2183 2.7279 5.0886 6.2183 -2.7279" Properties=species:S:1:pos:R:3 pbc="T T T"
Sm 2.2976 1.6771 0.0000
Sm 2.2976 -1.6771 2.7279
Sm 2.7910 7.8954 0.0000
Sm 2.7910 4.5413 2.7279
Zn 4.1376 -4.3817 2.7279
Zn 5.0886 0.0000 1.3639
Zn 4.1376 4.3817 0.0000
Zn 0.9510 1.8367 2.7279
Zn 0.0000 6.2183 1.3639
Zn 0.9510 10.6000 0.0000
Cu 5.0886 -2.5410 1.3639
Cu 6.8033 1.2997 0.0000
Cu 0.0000 0.0000 1.3639
Cu 1.7147 4.9186 0.0000
Cu 5.0886 2.5410 1.3639
Cu 0.0000 3.6773 1.3639
Cu 3.3739 1.2997 2.7279
Cu 0.0000 0.0000 4.0918
Cu -1.7147 4.9186 2.7279
Cu 0.0000 8.7593 1.3639
```